Structure and simulated powder XRD pattern of LiMg2Mn3O8 (a cell relaxed with GGA+U; λ = 1.5418 Å (Cu Kα)).
Lines closer than 0.1° are merged.

Top 10 peaks for 10° ≤ 2θ ≤ 80°, by angle:
2θ = 18.24°, I 100
2θ = 30.01°, I 9
2θ = 35.35°, I 76
2θ = 36.98°, I 8
2θ = 42.96°, I 62
2θ = 47.03°, I 8
2θ = 56.80°, I 32
2θ = 62.37°, I 48
2θ = 65.58°, I 14
2θ = 78.72°, I 9

Crystal structure
a = 5.9539 Å, b = 5.9539 Å, c = 14.5924 Å
α = 90.00°, β = 90.00°, γ = 120.00°
Space group R3m (No. 160, hexagonal axes)
Inequivalent atoms, fractional coordinates:
Li: 0.0000 0.0000 0.0000 (multiplicity 3)
Mg: 0.0000 0.0000 0.2346 (multiplicity 3)
Mg: 0.0000 0.0000 0.6171 (multiplicity 3)
Mn: 0.1685 0.3370 0.4499 (multiplicity 9)
O: 0.0000 0.0000 0.3750 (multiplicity 3)
O: 0.0000 0.0000 0.8586 (multiplicity 3)
O: 0.0312 0.5156 0.3783 (multiplicity 9)
O: 0.1818 0.3636 0.1904 (multiplicity 9)

Structure and simulated powder XRD pattern of Li4VCr2Ni3P6O24 (a cell relaxed with GGA+U; λ = 1.5418 Å (Cu Kα)).
Lines closer than 0.1° are merged.

Top 10 peaks for 10° ≤ 2θ ≤ 80°, by angle:
2θ = 20.13°, I 100
2θ = 23.68°, I 19
2θ = 23.86°, I 42
2θ = 24.22°, I 38
2θ = 24.40°, I 21
2θ = 32.70°, I 21
2θ = 32.95°, I 19
2θ = 33.51°, I 30
2θ = 35.25°, I 65
2θ = 55.09°, I 32

Crystal structure
a = 8.3931 Å, b = 8.5036 Å, c = 8.6248 Å
α = 62.03°, β = 62.45°, γ = 62.91°
Space group P1 (No. 1)
Inequivalent atoms, fractional coordinates:
Li: 0.0000 0.0000 0.0000 (multiplicity 1)
Li: 0.1012 0.8624 0.5073 (multiplicity 1)
Li: 0.2130 0.3561 0.4524 (multiplicity 1)
Li: 0.6417 0.5615 0.7994 (multiplicity 1)
V: 0.2098 0.5627 0.0042 (multiplicity 1)
Cr: 0.3666 0.7098 0.1546 (multiplicity 1)
Cr: 0.8493 0.2145 0.6506 (multiplicity 1)
Ni: 0.0017 0.3617 0.8039 (multiplicity 1)
Ni: 0.4995 0.8608 0.2978 (multiplicity 1)
Ni: 0.7141 0.0688 0.5017 (multiplicity 1)
P: 0.1071 0.1549 0.1954 (multiplicity 1)
P: 0.2989 0.9588 0.6892 (multiplicity 1)
P: 0.4135 0.4566 0.6006 (multiplicity 1)
P: 0.6037 0.2623 0.1117 (multiplicity 1)
P: 0.7999 0.7604 0.9022 (multiplicity 1)
P: 0.9110 0.6724 0.4017 (multiplicity 1)
O: 0.0411 0.1801 0.0454 (multiplicity 1)
O: 0.1041 0.1242 0.7128 (multiplicity 1)
O: 0.1189 0.6290 0.2519 (multiplicity 1)
O: 0.1770 0.3156 0.1465 (multiplicity 1)
O: 0.2566 0.9530 0.2249 (multiplicity 1)
O: 0.2577 0.3852 0.6363 (multiplicity 1)
O: 0.2696 0.8119 0.8964 (multiplicity 1)
O: 0.3046 0.8944 0.5491 (multiplicity 1)
O: 0.3722 0.5247 0.7561 (multiplicity 1)
O: 0.4188 0.6191 0.4093 (multiplicity 1)
O: 0.4568 0.4736 0.0680 (multiplicity 1)
O: 0.4707 0.0083 0.6400 (multiplicity 1)
O: 0.5253 0.1148 0.1527 (multiplicity 1)
O: 0.6022 0.7869 0.0525 (multiplicity 1)
O: 0.6091 0.3037 0.5865 (multiplicity 1)
O: 0.6597 0.2421 0.2640 (multiplicity 1)
O: 0.7537 0.7325 0.3294 (multiplicity 1)
O: 0.7624 0.2762 0.9154 (multiplicity 1)
O: 0.8124 0.9489 0.7400 (multiplicity 1)
O: 0.8257 0.6103 0.8347 (multiplicity 1)
O: 0.9059 0.8163 0.4627 (multiplicity 1)
O: 0.9156 0.4740 0.5596 (multiplicity 1)
O: 0.9580 0.7042 0.9795 (multiplicity 1)
O: 0.9602 0.1399 0.3928 (multiplicity 1)

Structure and simulated powder XRD pattern of BaTbMn2O6 (a cell relaxed with GGA+U; λ = 1.5418 Å (Cu Kα)).
Lines closer than 0.1° are merged.

Top 10 peaks for 10° ≤ 2θ ≤ 80°, by angle:
2θ = 22.54°, I 17
2θ = 32.10°, I 50
2θ = 32.30°, I 100
2θ = 39.75°, I 29
2θ = 46.03°, I 32
2θ = 46.64°, I 15
2θ = 57.33°, I 28
2θ = 57.42°, I 9
2θ = 57.74°, I 20
2θ = 67.61°, I 17

Crystal structure
a = 5.5826 Å, b = 7.7902 Å, c = 11.1442 Å
α = 90.00°, β = 89.90°, γ = 90.00°
Space group P-1 (No. 2)
Inequivalent atoms, fractional coordinates:
Ba: 0.2471 0.4979 0.1256 (multiplicity 2)
Ba: 0.2477 0.4982 0.6251 (multiplicity 2)
Tb: 0.2299 0.9967 0.6294 (multiplicity 2)
Tb: 0.2783 0.9956 0.1210 (multiplicity 2)
Mn: 0.2494 0.2399 0.3750 (multiplicity 2)
Mn: 0.2493 0.7543 0.8760 (multiplicity 2)
Mn: 0.2511 0.2447 0.8762 (multiplicity 2)
Mn: 0.2510 0.7585 0.3754 (multiplicity 2)
O: 0.0074 0.2188 0.0013 (multiplicity 2)
O: 0.0081 0.7702 0.5024 (multiplicity 2)
O: 0.0157 0.2237 0.7535 (multiplicity 2)
O: 0.0178 0.7751 0.7510 (multiplicity 2)
O: 0.1957 0.9994 0.3660 (multiplicity 2)
O: 0.2549 0.4998 0.8729 (multiplicity 2)
O: 0.2626 0.4996 0.3758 (multiplicity 2)
O: 0.2903 0.9996 0.8903 (multiplicity 2)
O: 0.4914 0.2104 0.2502 (multiplicity 2)
O: 0.4907 0.7627 0.0032 (multiplicity 2)
O: 0.4933 0.1982 0.4995 (multiplicity 2)
O: 0.4929 0.7890 0.2506 (multiplicity 2)

Structure and simulated powder XRD pattern of Ni2O3 (a cell relaxed with GGA+U; λ = 1.5418 Å (Cu Kα)).
Lines closer than 0.1° are merged.

Top 10 peaks for 10° ≤ 2θ ≤ 80°, by angle:
2θ = 12.14°, I 100
2θ = 19.28°, I 29
2θ = 32.78°, I 30
2θ = 35.94°, I 60
2θ = 42.29°, I 37
2θ = 43.70°, I 35
2θ = 45.97°, I 35
2θ = 47.51°, I 20
2θ = 60.77°, I 18
2θ = 63.00°, I 18

Crystal structure
a = 2.9028 Å, b = 9.7066 Å, c = 14.5766 Å
α = 90.00°, β = 90.00°, γ = 90.00°
Space group Cmcm (No. 63)
Inequivalent atoms, fractional coordinates:
Ni: 0.0000 0.0940 0.1354 (multiplicity 8)
Ni: 0.0000 0.3634 0.0467 (multiplicity 8)
O: 0.0000 0.0000 0.0000 (multiplicity 4)
O: 0.0000 0.1747 0.2500 (multiplicity 4)
O: 0.0000 0.2803 0.5774 (multiplicity 8)
O: 0.0000 0.4683 0.1566 (multiplicity 8)

Structure and simulated powder XRD pattern of PrMgCoO3 (a cell relaxed with GGA+U; λ = 1.5418 Å (Cu Kα)).
Lines closer than 0.1° are merged.

Top 10 peaks for 10° ≤ 2θ ≤ 80°, by angle:
2θ = 23.05°, I 20
2θ = 25.56°, I 85
2θ = 26.40°, I 100
2θ = 32.83°, I 50
2θ = 35.33°, I 19
2θ = 42.06°, I 51
2θ = 45.57°, I 23
2θ = 47.11°, I 30
2θ = 54.36°, I 38
2θ = 54.81°, I 27

Crystal structure
a = 3.8579 Å, b = 3.8579 Å, c = 6.9714 Å
α = 90.00°, β = 90.00°, γ = 90.00°
Space group P4/mmm (No. 123)
Inequivalent atoms, fractional coordinates:
Pr: 0.0000 0.0000 0.0000 (multiplicity 1)
Mg: 0.0000 0.0000 0.5000 (multiplicity 1)
Co: 0.5000 0.5000 0.5000 (multiplicity 1)
O: 0.0000 0.5000 0.5000 (multiplicity 2)
O: 0.5000 0.5000 0.0000 (multiplicity 1)